# Ag15Bi
Simulated powder X-ray diffraction pattern, Cu Kα (λ = 1.5418 Å). Input: a DFT-relaxed cell (GGA-PBE, OQMD).
No peak broadening, texture or thermal motion is included.

Structure:
a b c (Å): 8.109 2.946 35.984
angles (deg): 90.00 90.03 90.00
Space group P2_1/m (No. 11)
Inequivalent atoms, fractional coordinates:
1 Ag 0.124 0.250 0.266
2 Ag 0.125 0.250 0.020
3 Ag 0.125 0.250 0.102
4 Ag 0.125 0.250 0.184
5 Ag 0.125 0.250 0.695
6 Ag 0.125 0.250 0.776
7 Ag 0.125 0.250 0.858
8 Ag 0.125 0.250 0.939
9 Ag 0.374 0.750 0.734
10 Ag 0.375 0.750 0.061
11 Ag 0.375 0.750 0.143
12 Ag 0.375 0.750 0.225
13 Ag 0.375 0.750 0.816
14 Ag 0.375 0.750 0.898
15 Ag 0.375 0.750 0.980
16 Bi 0.375 0.750 0.314

Principal peaks in the range 15° ≤ 2θ ≤ 90°, by intensity:
Position (°2θ)  Rel. int.  (hkl)
37.8  100  2 1 0
37.3  74  2 0 12
43.0  49  0 1 12
44.7  30  4 0 0
63.8  29  4 1 12
39.4  21  2 0 13
75.7  17  2 2 12
77.5  16  6 0 12
44.9  16  0 1 13
77.8  11  6 1 0

# Nd2Dy3Fe2B6
Simulated powder X-ray diffraction pattern, Cu Kα (λ = 1.5418 Å). Input: a DFT-relaxed cell (GGA-PBE, OQMD).
No peak broadening, texture or thermal motion is included.

Structure:
a b c (Å): 5.4271 5.4271 23.7020
angles (deg): 90.00 90.00 120.00
Space group R-3m (No. 166, hexagonal axes)
Inequivalent atoms, fractional coordinates:
1 Nd 0.0000 0.0000 0.0861
2 Dy 0.0000 0.0000 0.2513
3 Dy 0.0000 0.0000 0.5000
4 Fe 0.0000 0.0000 0.3800
5 B 0.0000 0.3324 0.0000

Principal peaks in the range 15° ≤ 2θ ≤ 90°, by intensity:
Position (°2θ)  Rel. int.  (hkl)
33.0  100  1 1 0
40.3  38  1 1 6
26.7  26  0 1 5
32.6  26  1 0 7
35.8  25  0 1 8
57.7  22  1 1 12
59.0  22  3 0 0
22.5  20  0 0 6
69.2  12  2 2 0
24.2  12  1 0 4

# DyScAl3Si2
Simulated powder X-ray diffraction pattern, Cu Kα (λ = 1.5418 Å). Input: a DFT-relaxed cell (GGA-PBE, OQMD).
No peak broadening, texture or thermal motion is included.

Structure:
a b c (Å): 9.941 3.986 6.511
angles (deg): 90.00 100.13 90.00
Space group Cm (No. 8)
Inequivalent atoms, fractional coordinates:
1 Dy 0.000 0.000 0.000
2 Sc 0.264 0.500 0.357
3 Al 0.078 0.000 0.538
4 Al 0.187 0.500 0.806
5 Al 0.377 0.000 0.672
6 Si 0.287 0.000 0.044
7 Si 0.477 0.000 0.319

Principal peaks in the range 15° ≤ 2θ ≤ 90°, by intensity:
Position (°2θ)  Rel. int.  (hkl)
35.9  100  1 1 -2
28.7  53  1 1 1
35.6  47  3 1 0
40.1  45  3 1 1
24.1  44  1 1 0
36.4  40  3 1 -1
42.3  37  4 0 -2
18.1  37  2 0 0
27.1  37  1 1 -1
45.5  31  0 2 0

# LaHoAg2As4
Simulated powder X-ray diffraction pattern, Cu Kα (λ = 1.5418 Å). Input: a DFT-relaxed cell (GGA-PBE, OQMD).
No peak broadening, texture or thermal motion is included.

Structure:
a b c (Å): 4.048 4.048 10.499
angles (deg): 90.00 90.00 90.00
Space group P4mm (No. 99)
Inequivalent atoms, fractional coordinates:
1 La 0.000 0.000 0.000
2 Ho 0.500 0.500 0.455
3 Ag 0.000 0.500 0.719
4 As 0.000 0.000 0.537
5 As 0.000 0.500 0.237
6 As 0.500 0.500 0.900

Principal peaks in the range 15° ≤ 2θ ≤ 90°, by intensity:
Position (°2θ)  Rel. int.  (hkl)
35.7  100  1 1 2
44.8  31  2 0 0
76.6  21  3 1 2
34.2  17  0 0 4
57.5  15  2 0 4
27.8  13  1 0 2
23.6  12  1 0 1
41.0  11  1 0 4
33.9  11  1 0 3
65.2  10  2 2 0

What is the formula in the second record?
Nd2Dy3Fe2B6